Theoretical X-ray powder pattern
Compound: Ac9Ni3Hg
Radiation: λ = 1.5418 Å (Cu Kα)
Structure: a structure optimized by DFT (PBE)

Cell and atoms:
Cell lengths 7.246, 11.253, 12.186 Å; angles 90.00, 96.55, 90.00 degrees
Atoms (fractional coordinates):
Ac 0.070 0.250 0.191
Ac 0.152 0.575 0.377
Ac 0.152 0.925 0.377
Ac 0.211 0.250 0.849
Ac 0.258 0.559 0.048
Ac 0.258 0.941 0.048
Ac 0.340 0.250 0.519
Ac 0.354 0.570 0.701
Ac 0.354 0.930 0.701
Ac 0.646 0.070 0.299
Ac 0.646 0.430 0.299
Ac 0.660 0.750 0.481
Ac 0.742 0.059 0.952
Ac 0.742 0.441 0.952
Ac 0.789 0.750 0.151
Ac 0.848 0.075 0.623
Ac 0.848 0.425 0.623
Ac 0.930 0.750 0.809
Ni 0.059 0.004 0.832
Ni 0.059 0.496 0.832
Ni 0.500 0.000 0.500
Ni 0.500 0.500 0.500
Ni 0.941 0.504 0.168
Ni 0.941 0.996 0.168
Hg 0.483 0.250 0.090
Hg 0.517 0.750 0.910

The 6 most intense peaks (10 to 90 degrees two-theta), in order of rising 2θ:
d/Å  Position (°2θ)  I_rel  index
3.327  26.80  100  1 3 0
3.279  27.19  41  0 2 3
3.259  27.37  32  2 0 -2
3.220  27.71  41  1 1 3
3.133  28.49  33  2 1 -2
2.881  31.04  27  2 2 1